Starting from the PBE geometry in Alexandria, the powder diffractogram of GdLuAlRu was calculated for copper Kα.
No peak broadening, texture or thermal motion is included.

Principal peaks in the range 10 to 90 degrees two-theta, in order of falling intensity:
36.5°, rel. 100, hkl 2 2 0; 65.7°, rel. 36, hkl 4 2 2; 25.6°, rel. 23, hkl 2 0 0; 52.6°, rel. 18, hkl 4 0 0; 88.9°, rel. 16, hkl 6 2 0; 77.6°, rel. 11, hkl 4 4 0; 59.4°, rel. 9, hkl 4 2 0; 22.1°, rel. 7, hkl 1 1 1; 45.1°, rel. 7, hkl 2 2 2; 83.3°, rel. 5, hkl 6 0 0

Crystal structure
```
16
Lattice="6.961 0.000 0.000 0.000 6.961 0.000 0.000 0.000 6.961" Properties=species:S:1:pos:R:3 pbc="T T T"
Gd 0.000 0.000 0.000
Gd 0.000 3.480 3.480
Gd 3.480 0.000 3.480
Gd 3.480 3.480 0.000
Lu 0.000 0.000 3.480
Lu 0.000 3.480 0.000
Lu 3.480 0.000 0.000
Lu 3.480 3.480 3.480
Al 1.740 1.740 5.221
Al 1.740 5.221 1.740
Al 5.221 1.740 1.740
Al 5.221 5.221 5.221
Ru 1.740 1.740 1.740
Ru 1.740 5.221 5.221
Ru 5.221 1.740 5.221
Ru 5.221 5.221 1.740
```